For CaMg3Si4O12, a GGA-PBE-relaxed structure gives the theoretical powder X-ray diffraction pattern in this record (λ = 1.5418 Å (Cu Kα)).

Structural model:
Unit cell a=9.8625 b=9.0227 c=5.3235 alpha=90.00 beta=107.82 gamma=90.00
Space group C2 (No. 5)
Asymmetric unit:
Ca1 0.0000 0.0000 0.0000 (multiplicity 2)
Mg1 0.0000 0.2001 0.5000 (multiplicity 2)
Mg2 0.0000 0.3910 0.0000 (multiplicity 2)
Mg3 0.0000 0.5490 0.5000 (multiplicity 2)
Si1 0.2069 0.7080 0.9991 (multiplicity 4)
Si2 0.2108 0.8914 0.5073 (multiplicity 4)
O1 0.1153 0.3872 0.3949 (multiplicity 4)
O2 0.1197 0.2082 0.8978 (multiplicity 4)
O3 0.1220 0.5562 0.8885 (multiplicity 4)
O4 0.1385 0.0505 0.4237 (multiplicity 4)
O5 0.1487 0.7847 0.2353 (multiplicity 4)
O6 0.1500 0.8246 0.7429 (multiplicity 4)

Most intense lines, 2θ from 15° to 90°, by angle:
hkl	2θ/deg	I_rel
2 2 0	27.42	35
2 2 -1	29.31	100
3 1 0	30.25	81
1 3 -1	34.50	35
0 0 2	35.42	39
2 2 -3	55.78	43